1.
Calculated powder diffraction line list of KZrCuF7 for λ = 1.5418 Å (Cu Kα), from DFT lattice parameters and positions (PBE).

The 6 most intense peaks (10 to 90 degrees two-theta), by angle:
- 4.264 Å, rel. 100, hkl 2 0 0
- 3.364 Å, rel. 77, hkl 2 2 1
- 3.274 Å, rel. 57, hkl 2 0 2
- 3.242 Å, rel. 86, hkl 0 4 0
- 3.015 Å, rel. 78, hkl 0 2 3
- 2.132 Å, rel. 54, hkl 4 0 0

Atomic structure:
Unit cell a=8.5280 b=12.9688 c=10.2172 alpha=90.00 beta=90.00 gamma=90.00
Space group Cmcm (No. 63)
Inequivalent atoms, fractional coordinates:
K1 0.2421 0.1049 0.2500 [8 per cell]
Zr1 0.0000 0.3662 0.0689 [8 per cell]
Cu1 0.0000 0.1339 0.5699 [8 per cell]
F1 0.0000 0.0000 0.0000 [4 per cell]
F2 0.0000 0.0841 0.7500 [4 per cell]
F3 0.0000 0.2045 0.1101 [8 per cell]
F4 0.0000 0.2776 0.6141 [8 per cell]
F5 0.0000 0.4745 0.6135 [8 per cell]
F6 0.1386 0.3637 0.2500 [8 per cell]
F7 0.2292 0.3735 0.0134 [16 per cell]

2.
Calculated powder diffraction line list of Li4Cu3F10 for λ = 1.5418 Å (Cu Kα), from DFT lattice parameters and positions (PBE).

The 6 most intense peaks (10 to 90 degrees two-theta), by angle:
- 4.908 Å, rel. 60, hkl 0 1 0
- 4.848 Å, rel. 72, hkl 1 0 0
- 4.164 Å, rel. 100, hkl 1 -1 1
- 3.381 Å, rel. 51, hkl 1 0 -2
- 2.847 Å, rel. 52, hkl -1 1 2
- 2.597 Å, rel. 46, hkl -2 1 1

Atomic structure:
Unit cell a=5.4297 b=5.6569 c=8.1993 alpha=104.26 beta=94.23 gamma=114.36
Space group P-1 (No. 2)
Inequivalent atoms, fractional coordinates:
Li1 0.0608 0.4823 0.1919 [2 per cell]
Li2 0.3982 0.4195 0.7879 [2 per cell]
Cu1 0.3202 0.1184 0.3507 [2 per cell]
Cu2 0.5000 0.0000 0.0000 [1 per cell]
F1 0.0126 0.2149 0.7214 [2 per cell]
F2 0.2371 0.2545 0.1746 [2 per cell]
F3 0.2846 0.7602 0.7796 [2 per cell]
F4 0.3647 0.6885 0.0855 [2 per cell]
F5 0.5000 0.0000 0.5000 [1 per cell]
F6 0.5000 0.5000 0.5000 [1 per cell]